# 1
The following is a simulated powder diffractogram of ZrAs3Se. It was derived from a cell relaxed with PBE, using Cu Kα, 1.54184 Å.
Intensities are scaled so that the largest is 1000.

Cell and atoms:
a b c (Å): 5.1825 5.1825 5.1825
angles (deg): 90.00 90.00 90.00
Sites, in units of the cell vectors:
Zr: 0.0000 0.0000 0.0000
As: 0.0000 0.0000 0.5000
As: 0.0000 0.5000 0.0000
As: 0.5000 0.0000 0.0000
Se: 0.5000 0.5000 0.5000

Peak list (12 most intense, 10 to 90 degrees two-theta, in order of rising 2θ)
- d = 5.182 Å, I = 299, hkl 1 0 0
- d = 3.665 Å, I = 285, hkl 1 1 0
- d = 2.992 Å, I = 578, hkl 1 1 1
- d = 2.591 Å, I = 1000, hkl 2 0 0
- d = 2.318 Å, I = 146, hkl 2 1 0
- d = 2.116 Å, I = 121, hkl 2 1 1
- d = 1.832 Å, I = 701, hkl 2 2 0
- d = 1.563 Å, I = 244, hkl 3 1 1
- d = 1.496 Å, I = 238, hkl 2 2 2
- d = 1.296 Å, I = 110, hkl 4 0 0
- d = 1.189 Å, I = 101, hkl 3 3 1
- d = 1.159 Å, I = 310, hkl 4 2 0

# 2
The following is a simulated powder diffractogram of Si23As4. It was derived from a cell relaxed with PBE, using Cu Kα, 1.54184 Å.
Intensities are scaled so that the largest is 1000.

Cell and atoms:
a b c (Å): 10.1387 10.1387 10.1387
angles (deg): 90.00 90.00 90.00
Sites, in units of the cell vectors:
Si: 0.0000 0.1157 0.3118
Si: 0.0000 0.1157 0.6882
Si: 0.0000 0.2500 0.5000
Si: 0.0000 0.7500 0.5000
Si: 0.0000 0.8843 0.3118
Si: 0.0000 0.8843 0.6882
Si: 0.1157 0.3118 0.0000
Si: 0.1157 0.6882 0.0000
Si: 0.1823 0.1823 0.1823
Si: 0.1823 0.1823 0.8177
Si: 0.1823 0.8177 0.1823
Si: 0.1823 0.8177 0.8177
Si: 0.1882 0.3843 0.5000
Si: 0.1882 0.6157 0.5000
Si: 0.2500 0.5000 0.0000
Si: 0.3118 0.0000 0.1157
Si: 0.3118 0.0000 0.8843
Si: 0.3177 0.3177 0.3177
Si: 0.3177 0.3177 0.6823
Si: 0.3177 0.6823 0.3177
Si: 0.3177 0.6823 0.6823
Si: 0.3843 0.5000 0.1882
Si: 0.3843 0.5000 0.8118
Si: 0.5000 0.0000 0.2500
Si: 0.5000 0.0000 0.7500
Si: 0.5000 0.1882 0.3843
Si: 0.5000 0.1882 0.6157
Si: 0.5000 0.8118 0.3843
Si: 0.5000 0.8118 0.6157
Si: 0.6157 0.5000 0.1882
Si: 0.6157 0.5000 0.8118
Si: 0.6823 0.3177 0.3177
Si: 0.6823 0.3177 0.6823
Si: 0.6823 0.6823 0.3177
Si: 0.6823 0.6823 0.6823
Si: 0.6882 0.0000 0.1157
Si: 0.6882 0.0000 0.8843
Si: 0.7500 0.5000 0.0000
Si: 0.8118 0.3843 0.5000
Si: 0.8118 0.6157 0.5000
Si: 0.8177 0.1823 0.1823
Si: 0.8177 0.1823 0.8177
Si: 0.8177 0.8177 0.1823
Si: 0.8177 0.8177 0.8177
Si: 0.8843 0.3118 0.0000
Si: 0.8843 0.6882 0.0000
As: 0.0000 0.0000 0.0000
As: 0.0000 0.5000 0.2500
As: 0.0000 0.5000 0.7500
As: 0.2500 0.0000 0.5000
As: 0.5000 0.2500 0.0000
As: 0.5000 0.5000 0.5000
As: 0.5000 0.7500 0.0000
As: 0.7500 0.0000 0.5000

Peak list (12 most intense, 10 to 90 degrees two-theta, in order of rising 2θ)
- d = 2.927 Å, I = 275, hkl 2 2 2
- d = 2.812 Å, I = 402, hkl 3 2 0
- d = 2.710 Å, I = 1000, hkl 3 2 1
- d = 2.535 Å, I = 167, hkl 4 0 0
- d = 2.459 Å, I = 88, hkl 4 1 0
- d = 2.267 Å, I = 83, hkl 4 2 0
- d = 1.739 Å, I = 216, hkl 5 3 0
- d = 1.690 Å, I = 186, hkl 6 0 0
- d = 1.645 Å, I = 387, hkl 5 3 2
- d = 1.380 Å, I = 104, hkl 5 5 2
- d = 1.288 Å, I = 107, hkl 6 5 1
- d = 1.093 Å, I = 100, hkl 6 5 5

# 3
The following is a simulated powder diffractogram of Si3As4. It was derived from a cell relaxed with PBE, using Cu Kα, 1.54184 Å.
Intensities are scaled so that the largest is 1000.

Cell and atoms:
a b c (Å): 5.3682 5.3682 5.3682
angles (deg): 90.00 90.00 90.00
Sites, in units of the cell vectors:
Si: 0.0000 0.0000 0.5000
Si: 0.0000 0.5000 0.0000
Si: 0.5000 0.0000 0.0000
As: 0.2788 0.2788 0.7212
As: 0.2788 0.7212 0.2788
As: 0.7212 0.2788 0.2788
As: 0.7212 0.7212 0.7212

Peak list (12 most intense, 10 to 90 degrees two-theta, in order of rising 2θ)
- d = 3.099 Å, I = 1000, hkl 1 1 1
- d = 2.684 Å, I = 221, hkl 2 0 0
- d = 2.401 Å, I = 101, hkl 2 1 0
- d = 2.192 Å, I = 150, hkl 2 1 1
- d = 1.898 Å, I = 479, hkl 2 2 0
- d = 1.789 Å, I = 67, hkl 3 0 0
- d = 1.619 Å, I = 326, hkl 3 1 1
- d = 1.342 Å, I = 60, hkl 4 0 0
- d = 1.302 Å, I = 64, hkl 3 2 2
- d = 1.265 Å, I = 82, hkl 4 1 1
- d = 1.232 Å, I = 109, hkl 3 3 1
- d = 1.096 Å, I = 110, hkl 4 2 2

# 4
The following is a simulated powder diffractogram of SiAs. It was derived from a cell relaxed with PBE, using Cu Kα, 1.54184 Å.
Intensities are scaled so that the largest is 1000.

Cell and atoms:
a b c (Å): 3.7094 3.7099 8.7626
angles (deg): 82.76 82.58 60.02
Sites, in units of the cell vectors:
Si: 0.0285 0.0253 0.3652
Si: 0.9715 0.9747 0.6348
As: 0.2786 0.2837 0.7610
As: 0.7214 0.7163 0.2390

Peak list (12 most intense, 10 to 90 degrees two-theta, in order of rising 2θ)
- d = 8.667 Å, I = 187, hkl 0 0 1
- d = 4.333 Å, I = 1000, hkl 0 0 2
- d = 3.177 Å, I = 136, hkl 1 1 0
- d = 3.136 Å, I = 244, hkl 1 1 1
- d = 3.081 Å, I = 351, hkl 1 0 1
- d = 2.935 Å, I = 966, hkl 0 1 -1
- d = 2.764 Å, I = 257, hkl 1 1 2
- d = 2.073 Å, I = 221, hkl 0 1 -3
- d = 2.068 Å, I = 220, hkl 1 0 -3
- d = 1.927 Å, I = 131, hkl 1 1 4
- d = 1.856 Å, I = 225, hkl 1 -1 0
- d = 1.848 Å, I = 224, hkl 2 1 1